[1]
This entry pairs a crystal structure of LiTi3Zn2O8 with its computed X-ray diffraction stick pattern. Radiation: Cu Kα X-rays. Structure: a DFT-relaxed cell (PBE, the Materials Project).
Peak positions follow from Bragg's law for the DFT cell and can differ from measured ones.

Principal peaks in the range 2θ from 15° to 90°, by angle:
- 3.001 Å, I 56, hkl 2 2 0
- 2.559 Å, I 100, hkl 3 1 1
- 1.732 Å, I 21, hkl 4 2 2
- 1.633 Å, I 37, hkl 5 1 1
- 1.500 Å, I 45, hkl 4 4 0
- 1.105 Å, I 17, hkl 5 5 3

Atomic structure:
```
data_LiTi3Zn2O8
_cell_length_a 8.4873
_cell_length_b 8.4873
_cell_length_c 8.4873
_cell_angle_alpha 90.00
_cell_angle_beta 90.00
_cell_angle_gamma 90.00
_symmetry_space_group_name_H-M 'P 41 3 2'
_symmetry_Int_Tables_number 213
_symmetry_space_group_name_Hall 'P 4bd 2ab 3'
loop_
_atom_site_label
_atom_site_type_symbol
_atom_site_fract_x
_atom_site_fract_y
_atom_site_fract_z
Li1 Li 0.1250 0.3750 0.6250
Ti1 Ti 0.1197 0.1250 0.8697
Zn1 Zn 0.0008 0.9992 0.4992
O1 O 0.1087 0.6265 0.6109
O2 O 0.1134 0.1134 0.1134
```

[2]
This entry pairs a crystal structure of LaMgS3 with its computed X-ray diffraction stick pattern. Radiation: Cu Kα X-rays. Structure: a DFT-relaxed cell (PBE, the Materials Project).
Peak positions follow from Bragg's law for the DFT cell and can differ from measured ones.

Principal peaks in the range 2θ from 15° to 90°, by angle:
- 5.730 Å, I 54, hkl 1 0 1
- 3.563 Å, I 87, hkl 1 0 4
- 3.498 Å, I 61, hkl 1 1 0
- 3.006 Å, I 100, hkl 1 1 3
- 2.249 Å, I 57, hkl 2 -1 6
- 2.020 Å, I 55, hkl 3 0 0

Atomic structure:
```
data_LaMgS3
_cell_length_a 6.9968
_cell_length_b 6.9968
_cell_length_c 17.6178
_cell_angle_alpha 90.00
_cell_angle_beta 90.00
_cell_angle_gamma 120.00
_symmetry_space_group_name_H-M 'R -3'
_symmetry_Int_Tables_number 148
_symmetry_space_group_name_Hall '-R 3'
loop_
_atom_site_label
_atom_site_type_symbol
_atom_site_fract_x
_atom_site_fract_y
_atom_site_fract_z
La1 La 0.0000 0.0000 0.1405
Mg1 Mg 0.0000 0.0000 0.3443
S1 S 0.0141 0.6290 0.9197
```